Starting from DFT lattice parameters and positions (GGA-PBE), the PXRD pattern of Na2Ca was simulated for Cu Kα, 1.54184 Å.
Kinematic intensities with the Lorentz-polarization factor, no thermal factor.

Structure:
Lattice parameters (Å, degrees): 3.8263 3.8316 9.5187 101.07 90.28 119.47
Space group P-1 (No. 2)
Unique sites:
Na: 0.2244 0.4420 0.1633 x2
Ca: 0.0000 0.0000 0.5000 x1

Peak list (10 most intense, 15 to 90 degrees two-theta, sorted by position)
2θ/deg, I/Imax, (hkl)
27.0, 55, 0 1 -1
27.1, 29, 1 -1 0
28.9, 73, 0 0 3
29.7, 52, 1 0 1
29.8, 100, 0 1 -2
31.1, 47, 0 1 1
31.3, 47, 1 0 -2
31.6, 45, 1 -1 2
47.5, 34, 2 -1 0
50.6, 19, 1 0 4